# CsNa2W2O7
Theoretical powder X-ray diffraction pattern, λ = 1.5418 Å (Cu Kα). Input: a cell relaxed with GGA+U.
Lines closer than 0.1° are merged.

Top 12 peaks for 15 to 90 degrees two-theta, by angle:
d_spacing  2θ (°)  I (rel.)
5.481  16.17  71
5.147  17.23  100
4.322  20.55  23
3.808  23.36  65
3.238  27.55  90
3.091  28.89  81
2.741  32.67  24
2.236  40.34  25
1.869  48.71  24
1.840  49.55  35
1.797  50.80  22
1.545  59.87  18

Crystal structure
Cell lengths 9.4171, 9.4171, 9.4171 Å; angles 40.22, 40.22, 40.22 degrees
Positions (direct):
Cs 0.0000 0.0000 0.0000
Na 0.2679 0.2679 0.2679
Na 0.7321 0.7321 0.7321
W 0.4259 0.4259 0.4259
W 0.5741 0.5741 0.5741
O 0.1170 0.4481 0.6404
O 0.3596 0.5519 0.8830
O 0.4481 0.6404 0.1170
O 0.5000 0.5000 0.5000
O 0.5519 0.8830 0.3596
O 0.6404 0.1170 0.4481
O 0.8830 0.3596 0.5519